# 1
BaCa9Ac4: calculated powder XRD pattern (λ = 1.5418 Å (Cu Kα)), based on the GGA-PBE geometry in Alexandria.
Lines closer than 0.1° are merged.

Peak list (8 most intense, 2θ from 5° to 70°, low angle first)
- 9.493 Å, 2θ 9.32, rel. 100
- 4.441 Å, 2θ 19.99, rel. 33
- 3.142 Å, 2θ 28.40, rel. 45
- 3.116 Å, 2θ 28.65, rel. 75
- 3.069 Å, 2θ 29.10, rel. 37
- 2.577 Å, 2θ 34.81, rel. 20
- 1.818 Å, 2θ 50.18, rel. 17
- 1.579 Å, 2θ 58.43, rel. 22

Structural model:
```
BaCa9Ac4
1.0
10.9621 0.0000 0.0000
-5.4810 9.4935 0.0000
0.0000 0.0000 12.5718
Ba Ca Ac
2 18 8
Direct
0.3333 0.6667 0.2500
0.6667 0.3333 0.7500
0.0909 0.5454 0.7500
0.2058 0.4115 0.0235
0.2058 0.4115 0.4765
0.2058 0.7942 0.0235
0.2058 0.7942 0.4765
0.4115 0.2058 0.5235
0.4115 0.2058 0.9765
0.4546 0.5454 0.7500
0.4546 0.9091 0.7500
0.5454 0.0909 0.2500
0.5454 0.4546 0.2500
0.5885 0.7942 0.0235
0.5885 0.7942 0.4765
0.7942 0.2058 0.5235
0.7942 0.2058 0.9765
0.7942 0.5885 0.5235
0.7942 0.5885 0.9765
0.9091 0.4546 0.2500
0.0000 0.0000 0.0000
0.0000 0.0000 0.5000
0.1087 0.2174 0.7500
0.1087 0.8913 0.7500
0.2174 0.1087 0.2500
0.7826 0.8913 0.7500
0.8913 0.1087 0.2500
0.8913 0.7826 0.2500
```

=====

# 2
SrErF4: calculated powder XRD pattern (λ = 1.5418 Å (Cu Kα)), based on the GGA-PBE geometry in Alexandria.
Lines closer than 0.1° are merged.

Peak list (8 most intense, 2θ from 5° to 70°, low angle first)
- 5.496 Å, 2θ 16.13, rel. 32
- 3.811 Å, 2θ 23.34, rel. 100
- 3.194 Å, 2θ 27.93, rel. 97
- 2.695 Å, 2θ 33.25, rel. 22
- 2.060 Å, 2θ 43.96, rel. 78
- 1.906 Å, 2θ 47.73, rel. 19
- 1.759 Å, 2θ 51.98, rel. 21
- 1.636 Å, 2θ 56.21, rel. 24

Structural model:
```
SrErF4
1.0
-3.8111 3.8111 3.9661
3.8111 -3.8111 3.9661
3.8111 3.8111 -3.9661
Sr Er F
2 2 8
Direct
0.0000 0.0000 0.0000
0.7500 0.2500 0.5000
0.2385 0.7385 0.5000
0.4885 0.4885 0.0000
0.0281 0.3465 0.3184
0.0281 0.7097 0.6816
0.0965 0.2781 0.8184
0.4360 0.1434 0.7074
0.4360 0.7285 0.2926
0.4597 0.2781 0.1816
0.4785 0.6860 0.7926
0.8934 0.6860 0.2074
```

=====

# 3
CsLiTbTe3: calculated powder XRD pattern (λ = 1.5418 Å (Cu Kα)), based on the GGA-PBE geometry in Alexandria.
Lines closer than 0.1° are merged.

Peak list (8 most intense, 2θ from 5° to 70°, low angle first)
- 9.116 Å, 2θ 9.70, rel. 39
- 4.582 Å, 2θ 19.37, rel. 48
- 3.518 Å, 2θ 25.32, rel. 100
- 3.295 Å, 2θ 27.06, rel. 36
- 2.795 Å, 2θ 32.03, rel. 30
- 2.535 Å, 2θ 35.41, rel. 43
- 2.362 Å, 2θ 38.11, rel. 27
- 2.292 Å, 2θ 39.30, rel. 44

Structural model:
```
CsLiTbTe3
1.0
2.3616 -9.1161 0.0000
2.3616 9.1161 0.0000
0.0000 0.0000 10.6004
Cs Li Tb Te
2 2 2 6
Direct
0.2466 0.7534 0.7500
0.7534 0.2466 0.2500
0.4845 0.5155 0.7500
0.5155 0.4845 0.2500
0.0000 0.0000 0.0000
0.0000 0.0000 0.5000
0.0876 0.9124 0.2500
0.3972 0.6028 0.0866
0.3972 0.6028 0.4134
0.6028 0.3972 0.5866
0.6028 0.3972 0.9134
0.9124 0.0876 0.7500
```

=====

# 4
In9Bi4Pb11: calculated powder XRD pattern (λ = 1.5418 Å (Cu Kα)), based on the GGA-PBE geometry in Alexandria.
Lines closer than 0.1° are merged.

Peak list (8 most intense, 2θ from 5° to 70°, low angle first)
- 2.950 Å, 2θ 30.30, rel. 100
- 2.771 Å, 2θ 32.31, rel. 91
- 2.640 Å, 2θ 33.96, rel. 79
- 2.539 Å, 2θ 35.36, rel. 23
- 2.216 Å, 2θ 40.71, rel. 37
- 1.697 Å, 2θ 54.02, rel. 43
- 1.547 Å, 2θ 59.77, rel. 21
- 1.525 Å, 2θ 60.74, rel. 23

Structural model:
```
In9Bi4Pb11
1.0
7.9043 -10.6474 0.0000
7.9043 10.6474 0.0000
0.0000 0.0000 4.4328
In Bi Pb
9 4 11
Direct
0.0000 0.0000 0.0000
0.1209 0.6465 0.0000
0.3051 0.4850 0.0000
0.3535 0.8791 0.0000
0.4850 0.3051 0.0000
0.5150 0.6949 0.0000
0.6465 0.1209 0.0000
0.6949 0.5150 0.0000
0.8791 0.3535 0.0000
0.0662 0.2488 0.0000
0.2488 0.0662 0.0000
0.7512 0.9338 0.0000
0.9338 0.7512 0.0000
0.1009 0.4465 0.5000
0.1405 0.8595 0.5000
0.2724 0.2724 0.5000
0.3143 0.6857 0.5000
0.4465 0.1009 0.5000
0.5000 0.5000 0.5000
0.5535 0.8991 0.5000
0.6857 0.3143 0.5000
0.7276 0.7276 0.5000
0.8595 0.1405 0.5000
0.8991 0.5535 0.5000
```

=====

What is the formula in the third record? CsLiTbTe3

=====

Number 2 is which compound? SrErF4